For Sm4CICl4, a PBE-relaxed structure gives the theoretical X-ray powder pattern in this record (copper Kα).
Peak positions follow from Bragg's law for the DFT cell and can differ from measured ones.

Crystal structure
```
data_Sm4CICl4
_chemical_formula_sum 'Sm8 C2 I2 Cl8'
_cell_length_a 17.4939
_cell_length_b 3.9148
_cell_length_c 8.6798
_cell_angle_alpha 90.00
_cell_angle_beta 105.34
_cell_angle_gamma 90.00
_symmetry_space_group_name_H-M 'C 1 2/m 1'
_symmetry_Int_Tables_number 12
_symmetry_space_group_name_Hall '-C 2y'
loop_
_atom_site_label
_atom_site_type_symbol
_atom_site_fract_x
_atom_site_fract_y
_atom_site_fract_z
Sm1 Sm 0.0006 0.0000 0.3052
Sm2 Sm 0.1457 0.5000 0.5819
C1 C 0.0000 0.5000 0.5000
I1 I 0.0000 0.5000 0.0000
Cl1 Cl 0.1662 0.0000 0.8170
Cl2 Cl 0.1704 0.0000 0.3634
```

Principal peaks in the range 10° ≤ 2θ ≤ 90°, by angle:
- 2θ = 10.53°, I = 100, hkl 2 0 0
- 2θ = 16.78°, I = 14, hkl 2 0 1
- 2θ = 20.93°, I = 15, hkl 4 0 -1
- 2θ = 28.21°, I = 20, hkl 3 1 -1
- 2θ = 30.76°, I = 72, hkl 1 1 -2
- 2θ = 31.29°, I = 26, hkl 3 1 1
- 2θ = 31.83°, I = 31, hkl 6 0 0
- 2θ = 34.58°, I = 12, hkl 5 1 -1
- 2θ = 36.50°, I = 13, hkl 2 0 3
- 2θ = 44.58°, I = 19, hkl 7 1 -2
- 2θ = 45.12°, I = 20, hkl 5 1 2
- 2θ = 46.39°, I = 13, hkl 0 2 0